# Mo3W2
Computed powder X-ray diffraction pattern, λ = 1.5418 Å (Cu Kα). Input: the GGA-PBE geometry in Alexandria.

a b c (Å): 8.2250 8.2250 8.2250
angles (deg): 157.73 157.73 31.70
Fractional coordinates of all 5 atoms:
Mo1 0.0000 0.0000 0.0000
Mo2 0.2002 0.2002 0.0000
Mo3 0.7998 0.7998 0.0000
W1 0.3999 0.3999 0.0000
W2 0.6001 0.6001 0.0000

Most intense lines, 2θ = 15–90°, by intensity:
2θ/deg	Rel. int.
40.19	100.0
72.98	22.8
73.15	11.3
58.06	11.2
86.88	7.5
28.66	6.7
58.31	5.5
86.67	3.8
22.47	3.0
46.48	1.9
66.01	1.4
53.58	1.3